Diffraction record for Li9Mn2Co5O16. The XRD peak list is simulated, not measured: it uses a DFT-relaxed cell (PBE+U, the Materials Project) and λ = 1.5418 Å (Cu Kα).
Lines closer than 0.1° are merged.

Structural model:
```
data_Li9Mn2Co5O16
_cell_length_a 2.941
_cell_length_b 10.143
_cell_length_c 10.628
_cell_angle_alpha 113.78
_cell_angle_beta 94.97
_cell_angle_gamma 92.45
_space_group_name_H-M_alt 'P 1'
_space_group_IT_number 1
loop_
_space_group_symop_operation_xyz
'x,y,z'
loop_
_atom_site_label
_atom_site_type_symbol
_atom_site_fract_x
_atom_site_fract_y
_atom_site_fract_z
Li1 Li 0.000 0.000 0.000
Li2 Li 0.003 0.506 0.001
Li3 Li 0.134 0.441 0.256
Li4 Li 0.229 0.381 0.492
Li5 Li 0.242 0.872 0.495
Li6 Li 0.487 0.256 0.001
Li7 Li 0.497 0.752 0.999
Li8 Li 0.734 0.616 0.486
Li9 Li 0.750 0.125 0.501
Mn1 Mn 0.368 0.814 0.747
Mn2 Mn 0.611 0.194 0.249
Co1 Co 0.108 0.936 0.245
Co2 Co 0.368 0.314 0.749
Co3 Co 0.623 0.679 0.246
Co4 Co 0.869 0.063 0.746
Co5 Co 0.869 0.564 0.749
O1 O 0.041 0.730 0.137
O2 O 0.076 0.215 0.138
O3 O 0.145 0.149 0.354
O4 O 0.211 0.662 0.362
O5 O 0.300 0.598 0.633
O6 O 0.303 0.096 0.631
O7 O 0.434 0.532 0.862
O8 O 0.435 0.030 0.862
O9 O 0.531 0.979 0.137
O10 O 0.561 0.496 0.133
O11 O 0.680 0.387 0.365
O12 O 0.696 0.894 0.355
O13 O 0.775 0.849 0.629
O14 O 0.801 0.345 0.635
O15 O 0.943 0.281 0.865
O16 O 0.964 0.781 0.868
```

Most intense lines, 10° ≤ 2θ ≤ 80°, most intense first:
- 18.36°, I 100
- 42.11°, I 32
- 43.83°, I 27
- 44.64°, I 26
- 34.98°, I 17
- 36.06°, I 13
- 36.71°, I 12
- 64.86°, I 9